# Na2Li5Bi3H2
Computed X-ray diffraction stick pattern, Cu Kα (λ = 1.5418 Å). Input: a PBE-relaxed structure.

Largest 10 diffraction maxima, low angle first, 5° ≤ 2θ ≤ 70°:
d (Å)	2theta	I_rel
4.549	19.5	100
3.691	24.1	38
3.287	27.1	63
3.206	27.8	25
2.615	34.3	42
2.455	36.6	61
2.324	38.7	28
2.070	43.7	27
1.967	46.2	28
1.737	52.7	25

Atomic structure:
```
Na2Li5Bi3H2
1.0
-2.324 2.324 11.073
2.324 -2.324 11.073
2.324 2.324 -11.073
Na Li Bi H
2 5 3 2
direct
0.189 0.189 0.000
0.811 0.811 0.000
0.000 0.000 0.000
0.082 0.582 0.500
0.418 0.918 0.500
0.582 0.082 0.500
0.918 0.418 0.500
0.338 0.338 0.000
0.500 0.500 0.000
0.662 0.662 0.000
0.081 0.081 0.000
0.919 0.919 0.000
```